No. 1
Starting from a DFT-relaxed cell (GGA-PBE, Alexandria), the X-ray diffraction stick pattern of PmPrSm2Er2 was computed for a wavelength of 1.5418 Å.

Cell: 6.5724 18.1970 3.4226 Å, 90.00 90.00 90.00°
Fractional coordinates of all 12 atoms:
Pm1 0.0000 0.0000 0.0000
Pm2 0.5000 0.5000 0.5000
Pr1 0.0000 0.5000 0.0000
Pr2 0.5000 0.0000 0.5000
Sm1 0.2189 0.3110 0.0000
Sm2 0.2811 0.8110 0.5000
Sm3 0.7189 0.1890 0.5000
Sm4 0.7811 0.6890 0.0000
Er1 0.2173 0.1474 0.5000
Er2 0.2827 0.6474 0.0000
Er3 0.7173 0.3525 0.0000
Er4 0.7827 0.8526 0.5000

Top 8 peaks for 15° ≤ 2θ ≤ 90°, sorted by position:
two_theta	I_rel
28.89	99
29.45	100
29.98	94
31.06	35
32.51	42
33.64	58
35.55	42
40.87	67


No. 2
Starting from a DFT-relaxed cell (GGA-PBE, Alexandria), the X-ray diffraction stick pattern of CaSm2VN4 was computed for a wavelength of 1.5418 Å.

Cell: 6.2056 6.2056 12.1113 Å, 90.00 90.00 147.59°
Fractional coordinates of all 16 atoms:
Ca1 0.0995 0.9005 0.7500
Ca2 0.9005 0.0995 0.2500
Sm1 0.3698 0.6302 0.5412
Sm2 0.3698 0.6302 0.9588
Sm3 0.6302 0.3698 0.0412
Sm4 0.6302 0.3698 0.4588
V1 0.1740 0.8260 0.2500
V2 0.8260 0.1740 0.7500
N1 0.0000 0.0000 0.0000
N2 0.0000 0.0000 0.5000
N3 0.2637 0.7363 0.1304
N4 0.2637 0.7363 0.3696
N5 0.4077 0.5923 0.7500
N6 0.5923 0.4077 0.2500
N7 0.7363 0.2637 0.6304
N8 0.7363 0.2637 0.8696

Top 8 peaks for 15° ≤ 2θ ≤ 90°, sorted by position:
two_theta	I_rel
16.58	39
26.67	59
29.50	38
29.99	60
30.67	100
34.96	35
37.52	100
40.19	52


No. 3
Starting from a DFT-relaxed cell (GGA-PBE, Alexandria), the X-ray diffraction stick pattern of Zn12SnAu6 was computed for a wavelength of 1.5418 Å.

Cell: 7.3411 7.3411 7.3411 Å, 105.43 105.43 105.43°
Fractional coordinates of all 19 atoms:
Zn1 0.0000 0.3887 0.6113
Zn2 0.0000 0.6113 0.3887
Zn3 0.1339 0.1339 0.3906
Zn4 0.1339 0.3906 0.1339
Zn5 0.3887 0.0000 0.6113
Zn6 0.3887 0.6113 0.0000
Zn7 0.3906 0.1339 0.1339
Zn8 0.6094 0.8661 0.8661
Zn9 0.6113 0.0000 0.3887
Zn10 0.6113 0.3887 0.0000
Zn11 0.8661 0.6094 0.8661
Zn12 0.8661 0.8661 0.6094
Sn1 0.5000 0.5000 0.5000
Au1 0.1960 0.7903 0.7903
Au2 0.2097 0.2097 0.8040
Au3 0.2097 0.8040 0.2097
Au4 0.7903 0.1960 0.7903
Au5 0.7903 0.7903 0.1960
Au6 0.8040 0.2097 0.2097

Top 8 peaks for 15° ≤ 2θ ≤ 90°, sorted by position:
two_theta	I_rel
25.45	77
27.04	55
40.21	100
41.06	87
44.24	52
45.41	60
49.70	34
66.07	29


No. 4
Starting from a DFT-relaxed cell (GGA-PBE, Alexandria), the X-ray diffraction stick pattern of Mg3BiOs was computed for a wavelength of 1.5418 Å.

Cell: 5.0195 5.0195 5.0195 Å, 90.00 90.00 90.00°
Fractional coordinates of all 5 atoms:
Mg1 0.0000 0.0000 0.5000
Mg2 0.0000 0.5000 0.0000
Mg3 0.5000 0.0000 0.0000
Bi1 0.5000 0.5000 0.5000
Os1 0.0000 0.0000 0.0000

Top 8 peaks for 15° ≤ 2θ ≤ 90°, sorted by position:
two_theta	I_rel
25.09	100
35.78	33
44.20	46
51.50	24
58.11	21
70.15	24
81.33	12
86.76	11


No. 5
Starting from a DFT-relaxed cell (GGA-PBE, Alexandria), the X-ray diffraction stick pattern of PrDy12Er6 was computed for a wavelength of 1.5418 Å.

Cell: 8.4962 8.4962 8.4962 Å, 88.46 88.46 88.46°
Fractional coordinates of all 19 atoms:
Pr1 0.0000 0.0000 0.0000
Dy1 0.0098 0.3570 0.2083
Dy2 0.2083 0.0098 0.3570
Dy3 0.2257 0.5653 0.4570
Dy4 0.3570 0.2083 0.0098
Dy5 0.4347 0.5430 0.7743
Dy6 0.4570 0.2257 0.5653
Dy7 0.5430 0.7743 0.4347
Dy8 0.5653 0.4570 0.2257
Dy9 0.6430 0.7917 0.9902
Dy10 0.7743 0.4347 0.5430
Dy11 0.7917 0.9902 0.6430
Dy12 0.9902 0.6430 0.7917
Er1 0.0936 0.2571 0.6885
Er2 0.2571 0.6885 0.0936
Er3 0.3115 0.9064 0.7429
Er4 0.6885 0.0936 0.2571
Er5 0.7429 0.3115 0.9064
Er6 0.9064 0.7429 0.3115

Top 8 peaks for 15° ≤ 2θ ≤ 90°, sorted by position:
two_theta	I_rel
30.85	41
31.61	23
31.99	100
33.10	69
33.64	27
35.14	17
55.94	17
58.66	18


No. 6
Starting from a DFT-relaxed cell (GGA-PBE, Alexandria), the X-ray diffraction stick pattern of ThRe2N6 was computed for a wavelength of 1.5418 Å.

Cell: 6.2003 6.2003 6.2003 Å, 50.98 50.98 50.98°
Fractional coordinates of all 9 atoms:
Th1 0.0000 0.0000 0.0000
Re1 0.2069 0.2069 0.2069
Re2 0.4943 0.4943 0.4943
N1 0.1807 0.3684 0.7840
N2 0.3110 0.9170 0.5365
N3 0.3684 0.7840 0.1807
N4 0.5365 0.3110 0.9170
N5 0.7840 0.1807 0.3684
N6 0.9170 0.5365 0.3110

Top 8 peaks for 15° ≤ 2θ ≤ 90°, sorted by position:
two_theta	I_rel
19.99	43
22.17	54
29.38	100
33.59	80
45.22	34
48.03	42
57.49	32
60.06	20


Number 1 is which compound?
PmPrSm2Er2